No. 1
Computed powder diffractogram of CdSb2As2 for Cu Kα X-rays, from a PBE-relaxed structure.
Lines closer than 0.1° are merged.

Main lines, in order of rising 2θ (10 to 90 degrees two-theta):
2θ/deg	intensity
27.74	100
27.87	49
35.76	26
37.22	16
42.12	47
44.86	18

Structure:
Cell: 5.194 5.194 5.415 Å, 97.04 97.04 102.15°
Element x y z (fractional)
Cd 0.000 0.000 0.000
Sb 0.230 0.770 0.500
Sb 0.770 0.230 0.500
As 0.406 0.406 0.177
As 0.594 0.594 0.823

=====

No. 2
Computed powder diffractogram of Ac2Dy3Pt4 for Cu Kα X-rays, from a PBE-relaxed structure.
Lines closer than 0.1° are merged.

Main lines, in order of rising 2θ (10 to 90 degrees two-theta):
2θ/deg	intensity
29.97	45
30.14	35
31.95	81
32.83	100
35.17	81
36.58	82

Structure:
Cell: 7.736 7.788 8.103 Å, 90.00 109.36 90.00°
Element x y z (fractional)
Ac 0.197 0.175 0.084
Ac 0.197 0.325 0.584
Ac 0.803 0.675 0.416
Ac 0.803 0.825 0.916
Dy 0.249 0.662 0.249
Dy 0.249 0.838 0.749
Dy 0.500 0.000 0.500
Dy 0.500 0.500 0.000
Dy 0.751 0.162 0.251
Dy 0.751 0.338 0.751
Pt 0.096 0.543 0.870
Pt 0.096 0.957 0.370
Pt 0.497 0.636 0.625
Pt 0.497 0.864 0.125
Pt 0.503 0.136 0.875
Pt 0.503 0.364 0.375
Pt 0.904 0.043 0.630
Pt 0.904 0.457 0.130

=====

No. 3
Computed powder diffractogram of Nd5AgSb4 for Cu Kα X-rays, from a PBE-relaxed structure.
Lines closer than 0.1° are merged.

Main lines, in order of rising 2θ (10 to 90 degrees two-theta):
2θ/deg	intensity
27.99	100
39.99	76
49.52	27
65.42	23
65.54	12
72.64	25

Structure:
Cell: 7.813 7.813 7.813 Å, 99.56 99.56 131.91°
Element x y z (fractional)
Nd 0.000 0.000 0.000
Nd 0.192 0.605 0.797
Nd 0.395 0.192 0.587
Nd 0.605 0.808 0.413
Nd 0.808 0.395 0.203
Ag 0.500 0.500 0.000
Sb 0.101 0.299 0.399
Sb 0.299 0.899 0.198
Sb 0.701 0.101 0.802
Sb 0.899 0.701 0.601

=====

No. 4
Computed powder diffractogram of Ac3O4 for Cu Kα X-rays, from a PBE-relaxed structure.
Lines closer than 0.1° are merged.

Main lines, in order of rising 2θ (10 to 90 degrees two-theta):
2θ/deg	intensity
16.95	39
24.06	35
29.58	100
34.28	78
49.27	56
58.52	49

Structure:
Cell: 5.231 5.231 5.231 Å, 90.00 90.00 90.00°
Element x y z (fractional)
Ac 0.000 0.000 0.500
Ac 0.000 0.500 0.000
Ac 0.500 0.000 0.000
O 0.000 0.000 0.000
O 0.000 0.500 0.500
O 0.500 0.000 0.500
O 0.500 0.500 0.000

=====

No. 5
Computed powder diffractogram of Li4LaCr for Cu Kα X-rays, from a PBE-relaxed structure.
Lines closer than 0.1° are merged.

Main lines, in order of rising 2θ (10 to 90 degrees two-theta):
2θ/deg	intensity
19.34	100
31.84	84
37.52	72
50.01	24
56.73	31
60.52	23

Structure:
Cell: 5.621 5.621 5.621 Å, 60.00 60.00 60.00°
Element x y z (fractional)
Li 0.121 0.121 0.121
Li 0.121 0.121 0.636
Li 0.121 0.636 0.121
Li 0.636 0.121 0.121
La 0.500 0.500 0.500
Cr 0.750 0.750 0.750

=====

No. 6
Computed powder diffractogram of In2AsP for Cu Kα X-rays, from a PBE-relaxed structure.
Lines closer than 0.1° are merged.

Main lines, in order of rising 2θ (10 to 90 degrees two-theta):
2θ/deg	intensity
25.44	100
42.15	67
49.88	46
67.31	18
77.05	21
82.69	13

Structure:
Cell: 7.424 7.424 7.424 Å, 131.78 131.78 70.58°
Element x y z (fractional)
In 0.113 0.625 0.988
In 0.375 0.363 0.488
In 0.637 0.125 0.012
In 0.875 0.887 0.512
As 0.250 0.750 0.500
As 0.500 0.500 0.000
P 0.000 0.000 0.000
P 0.750 0.250 0.500

=====

No. 7
Computed powder diffractogram of NaTb4US8 for Cu Kα X-rays, from a PBE-relaxed structure.
Lines closer than 0.1° are merged.

Main lines, in order of rising 2θ (10 to 90 degrees two-theta):
2θ/deg	intensity
13.33	45
25.67	100
26.84	26
31.08	40
40.74	47
44.53	62

Structure:
Cell: 8.144 8.144 8.144 Å, 59.90 59.90 59.90°
Element x y z (fractional)
Na 0.000 0.000 0.000
Tb 0.114 0.630 0.630
Tb 0.251 0.251 0.251
Tb 0.630 0.114 0.630
Tb 0.630 0.630 0.114
U 0.628 0.628 0.628
S 0.382 0.382 0.852
S 0.382 0.852 0.382
S 0.384 0.384 0.384
S 0.409 0.863 0.863
S 0.852 0.382 0.382
S 0.863 0.409 0.863
S 0.863 0.863 0.409
S 0.865 0.865 0.865

=====

No. 8
Computed powder diffractogram of CaSmAs2O8 for Cu Kα X-rays, from a PBE-relaxed structure.
Lines closer than 0.1° are merged.

Main lines, in order of rising 2θ (10 to 90 degrees two-theta):
2θ/deg	intensity
28.98	100
30.70	15
34.96	18
47.20	30
53.52	17
59.07	27

Structure:
Cell: 6.864 6.864 6.864 Å, 136.08 136.08 63.86°
Element x y z (fractional)
Ca 0.000 0.000 0.000
Sm 0.750 0.250 0.500
As 0.250 0.750 0.500
As 0.500 0.500 0.000
O 0.031 0.922 0.608
O 0.078 0.686 0.109
O 0.171 0.283 0.613
O 0.314 0.423 0.392
O 0.442 0.829 0.112
O 0.577 0.969 0.891
O 0.670 0.558 0.387
O 0.717 0.330 0.888